This entry pairs a crystal structure of SmCo6Sn6 with its theoretical powder diffraction line list. Radiation: CuKα. Structure: a cell relaxed with PBE.
Neutral-atom scattering factors, no anomalous dispersion.

The 10 most intense peaks (10 to 90 degrees two-theta), in order of rising 2θ:
- 2θ 32.60, intensity 18
- 2θ 33.23, intensity 100
- 2θ 38.55, intensity 32
- 2θ 39.41, intensity 92
- 2θ 40.47, intensity 24
- 2θ 41.91, intensity 24
- 2θ 44.10, intensity 54
- 2θ 46.39, intensity 17
- 2θ 69.81, intensity 21
- 2θ 74.87, intensity 35

Structure:
```
SmCo6Sn6
1.0
-2.700 4.312 4.664
2.700 -4.312 4.664
2.700 4.312 -4.664
Sm Co Sn
1 6 6
Direct
0.000 0.000 0.000 Sm
0.000 0.000 0.500 Co
0.000 0.500 0.000 Co
0.249 0.500 0.749 Co
0.500 0.000 0.000 Co
0.500 0.500 0.500 Co
0.751 0.500 0.251 Co
0.171 0.671 0.500 Sn
0.336 0.000 0.336 Sn
0.337 0.337 0.000 Sn
0.663 0.663 0.000 Sn
0.664 0.000 0.664 Sn
0.829 0.329 0.500 Sn
```